# SmZrCu2Sn2
Theoretical powder diffraction line list, Cu Ka. Input: a GGA-PBE-relaxed structure.
Intensities are scaled so that the largest is 100.

Main lines, by intensity (10 to 90 degrees two-theta):
d = 2.634 Å, I = 100, hkl 1 0 2; d = 2.252 Å, I = 76, hkl 1 1 0; d = 1.712 Å, I = 27, hkl 0 2 2; d = 1.363 Å, I = 25, hkl 2 1 2; d = 3.423 Å, I = 24, hkl 1 0 1; d = 1.399 Å, I = 15, hkl 1 1 4; d = 1.300 Å, I = 13, hkl 3 0 0; d = 2.032 Å, I = 12, hkl 1 0 3; d = 1.636 Å, I = 9, hkl 1 1 3; d = 1.126 Å, I = 8, hkl 2 2 0

Atomic structure:
```
data_SmZrCu2Sn2
_cell_length_a 4.5031
_cell_length_b 4.5031
_cell_length_c 7.1439
_cell_angle_alpha 90.00
_cell_angle_beta 90.00
_cell_angle_gamma 120.00
_symmetry_space_group_name_H-M 'P 3 m 1'
_symmetry_Int_Tables_number 156
_symmetry_space_group_name_Hall 'P 3 -2"'
loop_
_atom_site_label
_atom_site_type_symbol
_atom_site_fract_x
_atom_site_fract_y
_atom_site_fract_z
Sm1 Sm 0.0000 0.0000 0.0000
Zr1 Zr 0.0000 0.0000 0.5001
Cu1 Cu 0.3333 0.6667 0.3322
Cu2 Cu 0.6667 0.3333 0.6736
Sn1 Sn 0.3333 0.6667 0.7379
Sn2 Sn 0.6667 0.3333 0.2619
```

# HoErPt2
Theoretical powder diffraction line list, Cu Ka. Input: a GGA-PBE-relaxed structure.
Intensities are scaled so that the largest is 100.

Main lines, by intensity (10 to 90 degrees two-theta):
d = 2.464 Å, I = 100, hkl 1 1 2; d = 2.232 Å, I = 90, hkl 1 2 1; d = 2.751 Å, I = 74, hkl 1 0 2; d = 2.239 Å, I = 51, hkl 2 0 0; d = 2.575 Å, I = 46, hkl 0 2 1; d = 1.690 Å, I = 26, hkl 2 2 1; d = 1.663 Å, I = 23, hkl 0 1 4; d = 1.335 Å, I = 23, hkl 2 1 4; d = 2.144 Å, I = 21, hkl 0 1 3; d = 3.116 Å, I = 17, hkl 1 1 1

Atomic structure:
```
data_HoErPt2
_cell_length_a 4.4776
_cell_length_b 5.5415
_cell_length_c 6.9746
_cell_angle_alpha 90.00
_cell_angle_beta 90.00
_cell_angle_gamma 90.00
_symmetry_space_group_name_H-M 'P m c 21'
_symmetry_Int_Tables_number 26
_symmetry_space_group_name_Hall 'P 2c -2'
loop_
_atom_site_label
_atom_site_type_symbol
_atom_site_fract_x
_atom_site_fract_y
_atom_site_fract_z
Ho1 Ho 0.0000 0.1098 0.0000
Er1 Er 0.5000 0.3904 0.3636
Pt1 Pt 0.0000 0.4059 0.6368
Pt2 Pt 0.5000 0.0947 0.7265
```

# LiLa6OsI12
Theoretical powder diffraction line list, Cu Ka. Input: a GGA-PBE-relaxed structure.
Intensities are scaled so that the largest is 100.

Main lines, by intensity (10 to 90 degrees two-theta):
d = 8.518 Å, I = 100, hkl 1 0 1; d = 2.673 Å, I = 58, hkl 4 -2 3; d = 3.117 Å, I = 58, hkl 3 1 2; d = 3.023 Å, I = 46, hkl 3 2 1; d = 2.211 Å, I = 22, hkl 4 -3 4; d = 3.294 Å, I = 19, hkl 2 -1 3; d = 2.403 Å, I = 19, hkl 6 -1 1; d = 2.723 Å, I = 16, hkl 2 3 2; d = 2.286 Å, I = 15, hkl 6 0 0; d = 2.055 Å, I = 14, hkl 1 6 1

Atomic structure:
```
data_LiLa6OsI12
_cell_length_a 15.8410
_cell_length_b 15.8410
_cell_length_c 10.8660
_cell_angle_alpha 90.00
_cell_angle_beta 90.00
_cell_angle_gamma 120.00
_symmetry_space_group_name_H-M 'R -3'
_symmetry_Int_Tables_number 148
_symmetry_space_group_name_Hall '-R 3'
loop_
_atom_site_label
_atom_site_type_symbol
_atom_site_fract_x
_atom_site_fract_y
_atom_site_fract_z
Li1 Li 0.0000 0.0000 0.0000
La1 La 0.0044 0.5268 0.1672
Os1 Os 0.0000 0.0000 0.5000
I1 I 0.0159 0.1501 0.3489
I2 I 0.0334 0.2978 0.7252
```

# KHfCuTe2Se
Theoretical powder diffraction line list, Cu Ka. Input: a GGA-PBE-relaxed structure.
Intensities are scaled so that the largest is 100.

Main lines, by intensity (10 to 90 degrees two-theta):
d = 7.811 Å, I = 100, hkl 1 0 -1; d = 2.962 Å, I = 51, hkl 2 1 -1; d = 2.146 Å, I = 32, hkl 2 1 -4; d = 3.197 Å, I = 29, hkl 0 0 3; d = 2.850 Å, I = 28, hkl 2 1 0; d = 2.023 Å, I = 19, hkl 0 2 0; d = 1.887 Å, I = 18, hkl 2 1 3; d = 2.630 Å, I = 16, hkl 1 1 -3; d = 2.347 Å, I = 14, hkl 3 1 -1; d = 3.614 Å, I = 13, hkl 1 1 0

Atomic structure:
```
data_KHfCuTe2Se
_cell_length_a 8.7004
_cell_length_b 4.0464
_cell_length_c 10.3860
_cell_angle_alpha 90.00
_cell_angle_beta 112.63
_cell_angle_gamma 90.00
_symmetry_space_group_name_H-M 'P 1 21/m 1'
_symmetry_Int_Tables_number 11
_symmetry_space_group_name_Hall '-P 2yb'
loop_
_atom_site_label
_atom_site_type_symbol
_atom_site_fract_x
_atom_site_fract_y
_atom_site_fract_z
K1 K 0.2251 0.2500 0.2204
Hf1 Hf 0.1837 0.7500 0.6574
Cu1 Cu 0.4163 0.2500 0.8973
Te1 Te 0.2519 0.7500 0.9475
Te2 Te 0.4159 0.2500 0.6445
Se1 Se 0.0380 0.7500 0.3714
```

# CsHg3IrS4
Theoretical powder diffraction line list, Cu Ka. Input: a GGA-PBE-relaxed structure.
Intensities are scaled so that the largest is 100.

Main lines, by intensity (10 to 90 degrees two-theta):
d = 2.575 Å, I = 100, hkl 2 2 0; d = 3.641 Å, I = 93, hkl 2 0 0; d = 4.205 Å, I = 72, hkl 1 1 1; d = 7.283 Å, I = 68, hkl 1 0 0; d = 1.628 Å, I = 49, hkl 4 2 0; d = 2.196 Å, I = 44, hkl 3 1 1; d = 1.487 Å, I = 34, hkl 4 2 2; d = 2.102 Å, I = 32, hkl 2 2 2; d = 1.214 Å, I = 24, hkl 6 0 0; d = 3.257 Å, I = 20, hkl 2 1 0

Atomic structure:
```
data_CsHg3IrS4
_cell_length_a 7.2826
_cell_length_b 7.2826
_cell_length_c 7.2826
_cell_angle_alpha 90.00
_cell_angle_beta 90.00
_cell_angle_gamma 90.00
_symmetry_space_group_name_H-M 'P -4 3 m'
_symmetry_Int_Tables_number 215
_symmetry_space_group_name_Hall 'P -4 2 3'
loop_
_atom_site_label
_atom_site_type_symbol
_atom_site_fract_x
_atom_site_fract_y
_atom_site_fract_z
Cs1 Cs 0.0000 0.0000 0.0000
Hg1 Hg 0.0000 0.5000 0.5000
Ir1 Ir 0.5000 0.5000 0.5000
S1 S 0.3260 0.3260 0.3260
```

# Sr2Dy2Sb2OF2
Theoretical powder diffraction line list, Cu Ka. Input: a GGA-PBE-relaxed structure.
Intensities are scaled so that the largest is 100.

Main lines, by intensity (10 to 90 degrees two-theta):
d = 2.692 Å, I = 100, hkl 1 1 4; d = 2.976 Å, I = 77, hkl 1 0 5; d = 2.275 Å, I = 65, hkl 2 0 0; d = 3.058 Å, I = 55, hkl 1 1 2; d = 1.807 Å, I = 35, hkl 2 1 5; d = 1.488 Å, I = 30, hkl 2 0 10; d = 1.381 Å, I = 25, hkl 3 1 4; d = 1.969 Å, I = 23, hkl 0 0 10; d = 1.608 Å, I = 21, hkl 2 2 0; d = 2.296 Å, I = 18, hkl 1 1 6

Atomic structure:
```
data_Sr2Dy2Sb2OF2
_cell_length_a 4.5495
_cell_length_b 4.5495
_cell_length_c 19.6738
_cell_angle_alpha 90.00
_cell_angle_beta 90.00
_cell_angle_gamma 90.00
_symmetry_space_group_name_H-M 'I 4/m m m'
_symmetry_Int_Tables_number 139
_symmetry_space_group_name_Hall '-I 4 2'
loop_
_atom_site_label
_atom_site_type_symbol
_atom_site_fract_x
_atom_site_fract_y
_atom_site_fract_z
Sr1 Sr 0.0000 0.0000 0.1913
Dy1 Dy 0.0000 0.5000 0.0000
Sb1 Sb 0.0000 0.0000 0.3908
O1 O 0.0000 0.0000 0.0000
F1 F 0.0000 0.5000 0.2500
```

# FeH3
Theoretical powder diffraction line list, Cu Ka. Input: a GGA-PBE-relaxed structure.
Intensities are scaled so that the largest is 100.

Main lines, by intensity (10 to 90 degrees two-theta):
d = 4.209 Å, I = 100, hkl 1 1 1; d = 2.105 Å, I = 58, hkl 2 2 2; d = 2.198 Å, I = 50, hkl 3 1 1; d = 1.823 Å, I = 24, hkl 4 0 0; d = 1.673 Å, I = 20, hkl 3 3 1; d = 1.099 Å, I = 18, hkl 6 2 2; d = 1.289 Å, I = 16, hkl 4 4 0; d = 1.403 Å, I = 14, hkl 5 1 1; d = 1.232 Å, I = 13, hkl 5 3 1; d = 1.112 Å, I = 5, hkl 5 3 3

Atomic structure:
Cell: 7.2907 7.2907 7.2907 Å, 90.00 90.00 90.00°
Space group Fd-3m (No. 227, origin choice 2)
Asymmetric unit:
Fe 0.0000 0.0000 0.0000
H 0.1178 0.3750 0.8750

# KGeAuS3
Theoretical powder diffraction line list, Cu Ka. Input: a GGA-PBE-relaxed structure.
Intensities are scaled so that the largest is 100.

Main lines, by intensity (10 to 90 degrees two-theta):
d = 5.678 Å, I = 100, hkl 0 2 0; d = 5.990 Å, I = 90, hkl 1 0 -2; d = 2.992 Å, I = 84, hkl 2 3 -2; d = 3.200 Å, I = 68, hkl 1 3 -2; d = 3.066 Å, I = 66, hkl 0 3 2; d = 3.125 Å, I = 59, hkl 3 0 0; d = 4.684 Å, I = 51, hkl 2 0 0; d = 5.298 Å, I = 48, hkl 1 1 -2; d = 2.693 Å, I = 46, hkl 1 3 2; d = 2.917 Å, I = 45, hkl 1 0 -4

Atomic structure:
```
data_KGeAuS3
_cell_length_a 10.7645
_cell_length_b 11.3556
_cell_length_c 12.0134
_cell_angle_alpha 90.00
_cell_angle_beta 119.52
_cell_angle_gamma 90.00
_symmetry_space_group_name_H-M 'P 1 21/c 1'
_symmetry_Int_Tables_number 14
_symmetry_space_group_name_Hall '-P 2ybc'
loop_
_atom_site_label
_atom_site_type_symbol
_atom_site_fract_x
_atom_site_fract_y
_atom_site_fract_z
K1 K 0.0896 0.2330 0.1241
K2 K 0.3824 0.7339 0.7093
Ge1 Ge 0.3342 0.5014 0.4176
Ge2 Ge 0.3354 0.0039 0.4433
Au1 Au 0.0123 0.5893 0.1421
Au2 Au 0.0155 0.5819 0.6806
S1 S 0.1835 0.0003 0.9963
S2 S 0.2088 0.6611 0.8632
S3 S 0.2138 0.1681 0.4261
S4 S 0.2341 0.5058 0.2052
S5 S 0.4800 0.0279 0.3543
S6 S 0.4993 0.1474 0.9896
```

# Ta2NbSn
Theoretical powder diffraction line list, Cu Ka. Input: a GGA-PBE-relaxed structure.
Intensities are scaled so that the largest is 100.

Main lines, by intensity (10 to 90 degrees two-theta):
d = 2.177 Å, I = 100, hkl 2 1 1; d = 2.383 Å, I = 89, hkl 2 0 1; d = 2.362 Å, I = 53, hkl 1 0 2; d = 2.390 Å, I = 51, hkl 2 1 0; d = 2.633 Å, I = 34, hkl 0 0 2; d = 1.415 Å, I = 26, hkl 2 1 3; d = 1.427 Å, I = 24, hkl 3 2 1; d = 2.672 Å, I = 23, hkl 2 0 0; d = 2.160 Å, I = 23, hkl 1 1 2; d = 1.467 Å, I = 20, hkl 2 0 3

Atomic structure:
```
data_Ta2NbSn
_cell_length_a 5.3449
_cell_length_b 5.3449
_cell_length_c 5.2653
_cell_angle_alpha 90.00
_cell_angle_beta 90.00
_cell_angle_gamma 90.00
_symmetry_space_group_name_H-M 'P 42/m m c'
_symmetry_Int_Tables_number 131
_symmetry_space_group_name_Hall '-P 4c 2'
loop_
_atom_site_label
_atom_site_type_symbol
_atom_site_fract_x
_atom_site_fract_y
_atom_site_fract_z
Ta1 Ta 0.0000 0.2460 0.0000
Nb1 Nb 0.5000 0.5000 0.2500
Sn1 Sn 0.0000 0.5000 0.5000
```

# Rb3ReO3F3
Theoretical powder diffraction line list, Cu Ka. Input: a GGA-PBE-relaxed structure.
Intensities are scaled so that the largest is 100.

Main lines, by intensity (10 to 90 degrees two-theta):
d = 3.201 Å, I = 100, hkl 1 1 0; d = 3.139 Å, I = 100, hkl 1 0 4; d = 2.241 Å, I = 55, hkl 0 2 4; d = 1.836 Å, I = 44, hkl 2 1 4; d = 5.210 Å, I = 31, hkl 1 0 1; d = 1.848 Å, I = 25, hkl 3 0 0; d = 4.483 Å, I = 23, hkl 0 1 2; d = 1.426 Å, I = 19, hkl 1 3 4; d = 1.409 Å, I = 19, hkl 3 -2 8; d = 1.801 Å, I = 19, hkl 0 1 8

Atomic structure:
```
data_Rb3ReO3F3
_cell_length_a 6.4028
_cell_length_b 6.4028
_cell_length_c 15.2314
_cell_angle_alpha 90.00
_cell_angle_beta 90.00
_cell_angle_gamma 120.00
_symmetry_space_group_name_H-M 'R 3'
_symmetry_Int_Tables_number 146
_symmetry_space_group_name_Hall 'R 3'
loop_
_atom_site_label
_atom_site_type_symbol
_atom_site_fract_x
_atom_site_fract_y
_atom_site_fract_z
Rb1 Rb 0.0000 0.0000 0.0000
Rb2 Rb 0.0000 0.0000 0.2469
Rb3 Rb 0.0000 0.0000 0.7418
Re1 Re 0.0000 0.0000 0.4877
O1 O 0.1219 0.3853 0.1046
F1 F 0.0597 0.6035 0.2452
```

# Dy3Er2S7
Theoretical powder diffraction line list, Cu Ka. Input: a GGA-PBE-relaxed structure.
Intensities are scaled so that the largest is 100.

Main lines, by intensity (10 to 90 degrees two-theta):
d = 3.625 Å, I = 100, hkl 2 0 -3; d = 3.717 Å, I = 88, hkl 2 0 2; d = 2.689 Å, I = 48, hkl 3 1 -2; d = 3.207 Å, I = 39, hkl 4 0 -1; d = 2.827 Å, I = 38, hkl 3 1 -1; d = 2.609 Å, I = 37, hkl 3 1 1; d = 3.374 Å, I = 34, hkl 1 1 1; d = 1.911 Å, I = 34, hkl 6 0 -4; d = 2.139 Å, I = 29, hkl 1 1 4; d = 2.297 Å, I = 26, hkl 1 1 -4

Atomic structure:
```
data_Dy3Er2S7
_cell_length_a 12.8338
_cell_length_b 3.7871
_cell_length_c 11.5631
_cell_angle_alpha 90.00
_cell_angle_beta 104.60
_cell_angle_gamma 90.00
_symmetry_space_group_name_H-M 'C 1 2/m 1'
_symmetry_Int_Tables_number 12
_symmetry_space_group_name_Hall '-C 2y'
loop_
_atom_site_label
_atom_site_type_symbol
_atom_site_fract_x
_atom_site_fract_y
_atom_site_fract_z
Dy1 Dy 0.0000 0.0000 0.0000
Dy2 Dy 0.1121 0.0000 0.4209
Er1 Er 0.1999 0.5000 0.8133
S1 S 0.0000 0.5000 0.5000
S2 S 0.0430 0.0000 0.7851
S3 S 0.1605 0.5000 0.0515
S4 S 0.2414 0.5000 0.3509
```

# ErTm2Fe3Co6
Theoretical powder diffraction line list, Cu Ka. Input: a GGA-PBE-relaxed structure.
Intensities are scaled so that the largest is 100.

Main lines, by intensity (10 to 90 degrees two-theta):
d = 2.118 Å, I = 100, hkl 1 1 6; d = 2.517 Å, I = 59, hkl 1 1 0; d = 2.662 Å, I = 54, hkl 1 0 7; d = 2.171 Å, I = 43, hkl 0 2 1; d = 2.438 Å, I = 39, hkl 0 1 8; d = 1.331 Å, I = 24, hkl 2 0 14; d = 1.363 Å, I = 23, hkl 3 0 6; d = 1.259 Å, I = 22, hkl 2 2 0; d = 1.480 Å, I = 19, hkl 2 1 7; d = 4.287 Å, I = 16, hkl 1 0 1

Atomic structure:
```
data_ErTm2Fe3Co6
_cell_length_a 5.0344
_cell_length_b 5.0344
_cell_length_c 23.5298
_cell_angle_alpha 90.00
_cell_angle_beta 90.00
_cell_angle_gamma 120.00
_symmetry_space_group_name_H-M 'R -3 m'
_symmetry_Int_Tables_number 166
_symmetry_space_group_name_Hall '-R 3 2"'
loop_
_atom_site_label
_atom_site_type_symbol
_atom_site_fract_x
_atom_site_fract_y
_atom_site_fract_z
Er1 Er 0.0000 0.0000 0.0000
Tm1 Tm 0.0000 0.0000 0.1410
Fe1 Fe 0.0000 0.0000 0.3334
Fe2 Fe 0.0000 0.0000 0.5000
Co1 Co 0.0020 0.5010 0.9178
```

Q: Number 2 is which compound?
A: HoErPt2